Entry 1:
Dy2Mg3InPd2: theoretical PXRD pattern (Cu Kα, 1.54184 Å), based on a cell relaxed with PBE.
Peak positions follow from Bragg's law for the DFT cell and can differ from measured ones.

Principal peaks in the range 15 to 90 degrees two-theta, by intensity:
| 2θ/deg | Rel. int. | index |
| --- | --- | --- |
| 21.73 | 1000 | 2 0 -1 |
| 30.24 | 990 | 4 0 1 |
| 34.80 | 934 | 0 2 0 |
| 36.65 | 810 | 0 0 2 |
| 51.44 | 702 | 0 2 2 |
| 31.00 | 682 | 3 1 1 |
| 46.76 | 589 | 4 2 1 |
| 50.17 | 548 | 7 1 -1 |

Structure:
```
data_Dy2Mg3InPd2
_chemical_formula_sum 'Dy4 Mg6 In2 Pd4'
_cell_length_a 14.817
_cell_length_b 5.156
_cell_length_c 4.904
_cell_angle_alpha 90.00
_cell_angle_beta 90.05
_cell_angle_gamma 90.00
_space_group_name_H-M_alt 'C 1 m 1'
_space_group_IT_number 8
loop_
_space_group_symop_operation_xyz
'x,y,z'
'x,-y,z'
'x+1/2,y+1/2,z'
'x+1/2,-y+1/2,z'
loop_
_atom_site_label
_atom_site_type_symbol
_atom_site_fract_x
_atom_site_fract_y
_atom_site_fract_z
Dy1 Dy 0.000 0.000 0.000
Dy2 Dy 0.199 0.000 0.498
Mg1 Mg 0.347 0.500 0.500
Mg2 Mg 0.357 0.000 0.000
Mg3 Mg 0.471 0.000 0.500
In1 In 0.239 0.500 0.000
Pd1 Pd 0.050 0.500 0.001
Pd2 Pd 0.151 0.500 0.501
```


Entry 2:
Dy3Mg3InPd2: theoretical PXRD pattern (Cu Kα, 1.54184 Å), based on a cell relaxed with PBE.
Peak positions follow from Bragg's law for the DFT cell and can differ from measured ones.

Principal peaks in the range 15 to 90 degrees two-theta, by intensity:
| 2θ/deg | Rel. int. | index |
| --- | --- | --- |
| 34.77 | 1000 | 2 0 1 |
| 31.72 | 600 | 1 1 1 |
| 27.94 | 274 | 2 0 0 |
| 41.24 | 224 | 0 0 2 |
| 24.13 | 209 | 1 1 0 |
| 56.00 | 202 | 3 1 1 |
| 71.00 | 177 | 2 0 3 |
| 37.24 | 176 | 2 1 0 |

Structure:
```
data_Dy3Mg3InPd2
_chemical_formula_sum 'Dy3 Mg3 In1 Pd2'
_cell_length_a 7.3757
_cell_length_b 7.3757
_cell_length_c 4.3778
_cell_angle_alpha 90.00
_cell_angle_beta 90.00
_cell_angle_gamma 120.00
_space_group_name_H-M_alt 'P -6 2 m'
_space_group_IT_number 189
_space_group_name_Hall 'P -6 -2'
loop_
_atom_site_label
_atom_site_type_symbol
_atom_site_fract_x
_atom_site_fract_y
_atom_site_fract_z
Dy1 Dy 0.0000 0.5730 0.0000
Mg1 Mg 0.0000 0.2547 0.5000
In1 In 0.0000 0.0000 0.0000
Pd1 Pd 0.3333 0.6667 0.5000
```


Entry 3:
Dy3InNiSn2Pt2: theoretical PXRD pattern (Cu Kα, 1.54184 Å), based on a cell relaxed with PBE.
Peak positions follow from Bragg's law for the DFT cell and can differ from measured ones.

Principal peaks in the range 15 to 90 degrees two-theta, by intensity:
| 2θ/deg | Rel. int. | index |
| --- | --- | --- |
| 33.44 | 1000 | 1 3 1 |
| 36.15 | 733 | 1 2 2 |
| 35.74 | 322 | 0 5 1 |
| 40.82 | 250 | 0 3 3 |
| 48.59 | 203 | 2 0 0 |
| 66.15 | 176 | 1 8 2 |
| 35.87 | 176 | 0 1 3 |
| 43.36 | 156 | 1 4 2 |

Structure:
```
data_Dy3InNiSn2Pt2
_chemical_formula_sum 'Dy6 In2 Ni2 Sn4 Pt4'
_cell_length_a 3.748
_cell_length_b 13.313
_cell_length_c 7.648
_cell_angle_alpha 90.00
_cell_angle_beta 90.00
_cell_angle_gamma 90.00
_space_group_name_H-M_alt 'A m m 2'
_space_group_IT_number 38
loop_
_space_group_symop_operation_xyz
'x,y,z'
'-x,-y,z'
'-x,y,z'
'x,-y,z'
'x,y+1/2,z+1/2'
'-x,-y+1/2,z+1/2'
'-x,y+1/2,z+1/2'
'x,-y+1/2,z+1/2'
loop_
_atom_site_label
_atom_site_type_symbol
_atom_site_fract_x
_atom_site_fract_y
_atom_site_fract_z
Dy1 Dy 0.000 0.000 0.000
Dy2 Dy 0.000 0.202 0.387
In1 In 0.500 0.000 0.340
Ni1 Ni 0.000 0.000 0.600
Sn1 Sn 0.500 0.126 0.716
Pt1 Pt 0.500 0.167 0.091
```


Entry 4:
TbDyIn2Ni4: theoretical PXRD pattern (Cu Kα, 1.54184 Å), based on a cell relaxed with PBE.
Peak positions follow from Bragg's law for the DFT cell and can differ from measured ones.

Principal peaks in the range 15 to 90 degrees two-theta, by intensity:
| 2θ/deg | Rel. int. | index |
| --- | --- | --- |
| 31.06 | 1000 | 1 1 1 |
| 38.34 | 709 | 1 1 2 |
| 45.17 | 334 | 2 0 0 |
| 35.12 | 315 | 0 2 0 |
| 42.44 | 304 | 0 1 3 |
| 33.90 | 288 | 1 0 2 |
| 43.81 | 256 | 0 2 2 |
| 43.94 | 246 | 1 2 1 |

Structure:
```
data_TbDyIn2Ni4
_chemical_formula_sum 'Tb1 Dy1 In2 Ni4'
_cell_length_a 4.015
_cell_length_b 5.110
_cell_length_c 7.029
_cell_angle_alpha 90.00
_cell_angle_beta 90.00
_cell_angle_gamma 90.00
_space_group_name_H-M_alt 'P m m 2'
_space_group_IT_number 25
loop_
_space_group_symop_operation_xyz
'x,y,z'
'-x,-y,z'
'-x,y,z'
'x,-y,z'
loop_
_atom_site_label
_atom_site_type_symbol
_atom_site_fract_x
_atom_site_fract_y
_atom_site_fract_z
Tb1 Tb 0.000 0.000 0.000
Dy1 Dy 0.000 0.500 0.464
In1 In 0.500 0.000 0.378
In2 In 0.500 0.500 0.086
Ni1 Ni 0.000 0.000 0.620
Ni2 Ni 0.000 0.500 0.843
Ni3 Ni 0.500 0.251 0.731
```


Entry 5:
Tb2DyIn3PdPt2: theoretical PXRD pattern (Cu Kα, 1.54184 Å), based on a cell relaxed with PBE.
Peak positions follow from Bragg's law for the DFT cell and can differ from measured ones.

Principal peaks in the range 15 to 90 degrees two-theta, by intensity:
| 2θ/deg | Rel. int. | index |
| --- | --- | --- |
| 35.55 | 1000 | 1 2 2 |
| 32.88 | 920 | 1 3 1 |
| 40.46 | 430 | 0 6 0 |
| 65.51 | 300 | 1 7 3 |
| 35.60 | 293 | 1 4 0 |
| 42.82 | 263 | 1 4 2 |
| 47.30 | 224 | 2 0 0 |
| 63.96 | 222 | 2 6 0 |

Structure:
```
data_Tb2DyIn3PdPt2
_chemical_formula_sum 'Tb4 Dy2 In6 Pd2 Pt4'
_cell_length_a 3.844
_cell_length_b 13.367
_cell_length_c 7.727
_cell_angle_alpha 90.00
_cell_angle_beta 90.00
_cell_angle_gamma 90.00
_space_group_name_H-M_alt 'A m m 2'
_space_group_IT_number 38
loop_
_space_group_symop_operation_xyz
'x,y,z'
'-x,-y,z'
'-x,y,z'
'x,-y,z'
'x,y+1/2,z+1/2'
'-x,-y+1/2,z+1/2'
'-x,y+1/2,z+1/2'
'x,-y+1/2,z+1/2'
loop_
_atom_site_label
_atom_site_type_symbol
_atom_site_fract_x
_atom_site_fract_y
_atom_site_fract_z
Tb1 Tb 0.000 0.205 0.000
Dy1 Dy 0.000 0.000 0.385
In1 In 0.500 0.000 0.054
In2 In 0.500 0.129 0.665
Pd1 Pd 0.000 0.000 0.795
Pt1 Pt 0.500 0.166 0.295
```


Entry 6:
Dy4InSi4Pd2: theoretical PXRD pattern (Cu Kα, 1.54184 Å), based on a cell relaxed with PBE.
Peak positions follow from Bragg's law for the DFT cell and can differ from measured ones.

Principal peaks in the range 15 to 90 degrees two-theta, by intensity:
| 2θ/deg | Rel. int. | index |
| --- | --- | --- |
| 34.56 | 1000 | 6 0 -1 |
| 33.29 | 728 | 3 1 1 |
| 33.19 | 694 | 1 1 -2 |
| 36.17 | 688 | 1 1 2 |
| 36.02 | 680 | 5 1 -1 |
| 42.91 | 603 | 0 2 0 |
| 37.04 | 475 | 5 1 0 |
| 42.70 | 338 | 6 0 1 |

Structure:
```
data_Dy4InSi4Pd2
_chemical_formula_sum 'Dy8 In2 Si8 Pd4'
_cell_length_a 15.613
_cell_length_b 4.215
_cell_length_c 7.058
_cell_angle_alpha 90.00
_cell_angle_beta 108.07
_cell_angle_gamma 90.00
_space_group_name_H-M_alt 'C 1 2/m 1'
_space_group_IT_number 12
loop_
_space_group_symop_operation_xyz
'x,y,z'
'-x,-y,-z'
'-x,y,-z'
'x,-y,z'
'x+1/2,y+1/2,z'
'-x+1/2,-y+1/2,-z'
'-x+1/2,y+1/2,-z'
'x+1/2,-y+1/2,z'
loop_
_atom_site_label
_atom_site_type_symbol
_atom_site_fract_x
_atom_site_fract_y
_atom_site_fract_z
Dy1 Dy 0.084 0.000 0.377
Dy2 Dy 0.156 0.000 0.924
In1 In 0.000 0.500 0.000
Si1 Si 0.062 0.500 0.651
Si2 Si 0.195 0.500 0.247
Pd1 Pd 0.219 0.500 0.631
```